Entry 1:
For Co7Ir3, the GGA-PBE geometry in Alexandria gives the computed powder diffractogram in this record (Cu Kα).
Intensities are scaled so that the largest is 100.

Cell and atoms:
Cell lengths 3.643, 3.645, 18.104 Å; angles 90.00, 90.00, 90.00 degrees
Space group Amm2 (No. 38)
One atom of each set of equivalent atoms:
Co 0.000 0.000 0.000
Co 0.000 0.000 0.191
Co 0.000 0.000 0.593
Co 0.000 0.000 0.796
Co 0.500 0.000 0.092
Co 0.500 0.000 0.500
Co 0.500 0.000 0.901
Ir 0.000 0.000 0.400
Ir 0.500 0.000 0.296
Ir 0.500 0.000 0.692

Largest 6 diffraction maxima, in order of rising 2θ, 5 to 70 degrees two-theta:
2θ = 9.77°, I = 24, hkl 0 0 2; 2θ = 26.37°, I = 14, hkl 1 0 2; 2θ = 43.09°, I = 100, hkl 1 1 5; 2θ = 50.05°, I = 17, hkl 0 2 0; 2θ = 50.08°, I = 16, hkl 2 0 0; 2θ = 50.41°, I = 15, hkl 0 0 10

***

Entry 2:
For Co5Ir2, the GGA-PBE geometry in Alexandria gives the computed powder diffractogram in this record (Cu Kα).
Intensities are scaled so that the largest is 100.

Cell and atoms:
Cell lengths 8.129, 3.624, 5.763 Å; angles 90.00, 98.10, 90.00 degrees
Space group C2/m (No. 12)
One atom of each set of equivalent atoms:
Co 0.000 0.000 0.000
Co 0.146 0.000 0.426
Co 0.215 0.500 0.142
Ir 0.073 0.500 0.718

Largest 6 diffraction maxima, in order of rising 2θ, 5 to 70 degrees two-theta:
2θ = 25.22°, I = 11, hkl 2 0 -1; 2θ = 26.98°, I = 19, hkl 1 1 0; 2θ = 43.11°, I = 100, hkl 1 1 2; 2θ = 50.08°, I = 16, hkl 2 0 -3; 2θ = 50.16°, I = 16, hkl 4 0 1; 2θ = 50.36°, I = 16, hkl 0 2 0

***

Entry 3:
For Co5Ir6, the GGA-PBE geometry in Alexandria gives the computed powder diffractogram in this record (Cu Kα).
Intensities are scaled so that the largest is 100.

Cell and atoms:
Cell lengths 3.741, 11.226, 7.041 Å; angles 90.00, 90.00, 90.00 degrees
Space group Cmmm (No. 65)
One atom of each set of equivalent atoms:
Co 0.000 0.000 0.000
Co 0.000 0.328 0.000
Co 0.000 0.330 0.500
Ir 0.000 0.164 0.255
Ir 0.000 0.500 0.251

Largest 6 diffraction maxima, in order of rising 2θ, 5 to 70 degrees two-theta:
2θ = 25.30°, I = 32, hkl 0 0 2; 2θ = 33.88°, I = 31, hkl 1 3 0; 2θ = 42.75°, I = 100, hkl 1 3 2; 2θ = 48.67°, I = 34, hkl 2 0 0; 2θ = 51.95°, I = 14, hkl 0 0 4; 2θ = 55.64°, I = 16, hkl 2 0 2

***

Entry 4:
For CoIr5, the GGA-PBE geometry in Alexandria gives the computed powder diffractogram in this record (Cu Kα).
Intensities are scaled so that the largest is 100.

Cell and atoms:
Cell lengths 4.7164, 4.7164, 4.3780 Å; angles 90.00, 90.00, 120.00 degrees
Space group P-62m (No. 189)
One atom of each set of equivalent atoms:
Co 0.0000 0.0000 0.0000
Ir 0.0000 0.6727 0.5000
Ir 0.3333 0.6667 0.0000

Largest 6 diffraction maxima, in order of rising 2θ, 5 to 70 degrees two-theta:
2θ = 29.92°, I = 7, hkl 1 0 1; 2θ = 38.16°, I = 25, hkl 1 1 0; 2θ = 41.24°, I = 26, hkl 0 0 2; 2θ = 43.59°, I = 100, hkl 1 1 1; 2θ = 57.44°, I = 16, hkl 1 1 2; 2θ = 68.97°, I = 17, hkl 3 0 0